MgNiO2: theoretical powder diffractogram (Cu Kα, 1.54184 Å), based on a cell relaxed with PBE+U.
Peak positions follow from Bragg's law for the DFT cell and can differ from measured ones.

Crystal structure
a b c (Å): 2.9825 8.0125 8.2693
angles (deg): 89.04 80.71 89.78
Element x y z (fractional)
Mg  0.0000  0.0000  0.0000
Mg  0.0848  0.8149  0.3846
Mg  0.6207  0.3500  0.1445
Mg  0.7076  0.1647  0.5290
Ni  0.0502  0.4835  0.4819
Ni  0.3110  0.3353  0.8420
Ni  0.3939  0.8291  0.6871
Ni  0.6543  0.6813  0.0472
O  0.1051  0.8171  0.1520
O  0.1678  0.4881  0.0374
O  0.2137  0.0020  0.5209
O  0.4939  0.1627  0.0082
O  0.5375  0.6765  0.4917
O  0.5992  0.3475  0.3772
O  0.8084  0.8308  0.8442
O  0.8962  0.3343  0.6851

The 8 most intense peaks (10° ≤ 2θ ≤ 90°), in order of falling intensity:
- d = 3.616 Å, 24.6 deg, I 100, hkl 0 2 1
- d = 2.507 Å, 35.8 deg, I 92, hkl -1 1 1
- d = 2.590 Å, 34.6 deg, I 91, hkl 0 1 3
- d = 8.011 Å, 11.0 deg, I 73, hkl 0 1 0
- d = 2.373 Å, 37.9 deg, I 73, hkl 1 2 0
- d = 2.835 Å, 31.6 deg, I 71, hkl 0 2 -2
- d = 4.006 Å, 22.2 deg, I 70, hkl 0 2 0
- d = 4.080 Å, 21.8 deg, I 63, hkl 0 0 2

---

Ba2YMgFe3O8: theoretical powder diffractogram (Cu Kα, 1.54184 Å), based on a cell relaxed with PBE+U.
Peak positions follow from Bragg's law for the DFT cell and can differ from measured ones.

Crystal structure
a b c (Å): 3.9897 3.9897 15.1814
angles (deg): 90.00 90.00 90.00
Element x y z (fractional)
Ba  0.0000  0.0000  0.2408
Ba  0.0000  0.0000  0.7592
Y  0.0000  0.0000  0.0000
Mg  0.0000  0.0000  0.5000
Fe  0.5000  0.5000  0.1254
Fe  0.5000  0.5000  0.5000
Fe  0.5000  0.5000  0.8746
O  0.0000  0.5000  0.0933
O  0.0000  0.5000  0.5000
O  0.0000  0.5000  0.9067
O  0.5000  0.0000  0.0933
O  0.5000  0.0000  0.5000
O  0.5000  0.0000  0.9067
O  0.5000  0.5000  0.2528
O  0.5000  0.5000  0.7472

The 8 most intense peaks (10° ≤ 2θ ≤ 90°), in order of falling intensity:
- d = 2.750 Å, 32.6 deg, I 100, hkl 1 0 4
- d = 2.821 Å, 31.7 deg, I 81, hkl 1 1 0
- d = 1.995 Å, 45.5 deg, I 56, hkl 2 0 0
- d = 2.264 Å, 39.8 deg, I 46, hkl 1 1 4
- d = 3.795 Å, 23.4 deg, I 41, hkl 0 0 4
- d = 1.615 Å, 57.0 deg, I 40, hkl 2 1 4
- d = 2.416 Å, 37.2 deg, I 35, hkl 1 0 5
- d = 3.532 Å, 25.2 deg, I 34, hkl 1 0 2